# 1
This entry pairs a crystal structure of Ce7Ge2H2 with its calculated X-ray powder pattern. Radiation: a wavelength of 1.5418 Å. Structure: DFT lattice parameters and positions (PBE).
Peak positions follow from Bragg's law for the DFT cell and can differ from measured ones.

Largest 8 diffraction maxima, by intensity, 2θ = 10–90°:
2θ = 32.30°, I = 100
2θ = 32.48°, I = 82
2θ = 33.04°, I = 75
2θ = 28.48°, I = 55
2θ = 30.11°, I = 45
2θ = 27.70°, I = 42
2θ = 32.84°, I = 40
2θ = 33.30°, I = 31

Structural model:
```
Ce7Ge2H2
1.0
5.893 0.000 0.000
0.560 6.420 0.000
0.605 2.655 6.441
Ce Ge H
7 2 2
direct
0.000 0.000 0.000 Ce
0.214 0.495 0.547 Ce
0.216 0.910 0.572 Ce
0.295 0.401 0.092 Ce
0.705 0.599 0.908 Ce
0.784 0.090 0.428 Ce
0.786 0.505 0.453 Ce
0.481 0.877 0.194 Ge
0.519 0.123 0.806 Ge
0.066 0.704 0.898 H
0.934 0.296 0.102 H
```


# 2
This entry pairs a crystal structure of Ce6Ge3H with its calculated X-ray powder pattern. Radiation: a wavelength of 1.5418 Å. Structure: DFT lattice parameters and positions (PBE).
Peak positions follow from Bragg's law for the DFT cell and can differ from measured ones.

Largest 8 diffraction maxima, by intensity, 2θ = 10–90°:
2θ = 33.79°, I = 100
2θ = 40.46°, I = 15
2θ = 43.02°, I = 12
2θ = 72.94°, I = 11
2θ = 69.35°, I = 11
2θ = 60.53°, I = 9
2θ = 39.46°, I = 8
2θ = 53.65°, I = 8

Structural model:
```
Ce6Ge3H
1.0
6.308 -7.976 0.000
6.308 7.976 0.000
0.000 0.000 4.459
Ce Ge H
12 6 2
direct
0.057 0.943 0.750 Ce
0.071 0.575 0.750 Ce
0.252 0.748 0.250 Ce
0.276 0.394 0.250 Ce
0.394 0.276 0.750 Ce
0.425 0.929 0.750 Ce
0.575 0.071 0.250 Ce
0.606 0.724 0.250 Ce
0.724 0.606 0.750 Ce
0.748 0.252 0.750 Ce
0.929 0.425 0.250 Ce
0.943 0.057 0.250 Ce
0.062 0.270 0.750 Ge
0.270 0.062 0.250 Ge
0.392 0.608 0.750 Ge
0.608 0.392 0.250 Ge
0.730 0.938 0.750 Ge
0.938 0.730 0.250 Ge
0.201 0.799 0.750 H
0.799 0.201 0.250 H
```